1.
This entry pairs a crystal structure of LiB3Ir2 with its computed XRD peak list. Radiation: Cu Kα, 1.54184 Å. Structure: a cell relaxed with GGA-PBE.

Main lines, in order of rising 2θ (2θ from 10° to 80°):
| 2theta | I/Imax |
| --- | --- |
| 15.35 | 28 |
| 30.98 | 100 |
| 35.92 | 42 |
| 39.27 | 20 |
| 47.23 | 37 |
| 51.71 | 29 |
| 61.52 | 20 |
| 66.81 | 19 |

Atomic structure:
Unit cell a=9.999 b=9.999 c=9.999 alpha=90.00 beta=90.00 gamma=90.00
Space group Fd-3m (No. 227, origin choice 2)
Symmetry-distinct sites (fractional):
Li 0.000 0.000 0.000 x16
B 0.116 0.375 0.375 x48
Ir 0.023 0.023 0.727 x32

=====

2.
This entry pairs a crystal structure of ZrTaS with its computed XRD peak list. Radiation: Cu Kα, 1.54184 Å. Structure: a cell relaxed with GGA-PBE.

Main lines, in order of rising 2θ (2θ from 10° to 80°):
| 2theta | I/Imax |
| --- | --- |
| 23.73 | 41 |
| 30.08 | 100 |
| 32.40 | 66 |
| 33.36 | 64 |
| 34.12 | 46 |
| 37.49 | 62 |
| 39.75 | 42 |
| 46.82 | 52 |

Atomic structure:
```
data_ZrTaS
_chemical_formula_sum 'Zr8 Ta8 S8'
_cell_length_a 7.499
_cell_length_b 9.736
_cell_length_c 6.243
_cell_angle_alpha 90.00
_cell_angle_beta 90.00
_cell_angle_gamma 90.00
_space_group_name_H-M_alt 'C m c e'
_space_group_IT_number 64
_space_group_name_Hall '-C 2ac 2'
loop_
_atom_site_label
_atom_site_fract_x
_atom_site_fract_y
_atom_site_fract_z
_atom_site_occupancy
Zr1 0.209 0.000 0.000 1
Ta1 0.000 0.191 0.326 1
S1 0.000 0.082 0.687 1
```

=====

What did the second record say?
This entry pairs a crystal structure of ZrTaS with its computed XRD peak list. Radiation: Cu Kα, 1.54184 Å. Structure: a cell relaxed with GGA-PBE.

Main lines, in order of rising 2θ (2θ from 10° to 80°):
| 2theta | I/Imax |
| --- | --- |
| 23.73 | 41 |
| 30.08 | 100 |
| 32.40 | 66 |
| 33.36 | 64 |
| 34.12 | 46 |
| 37.49 | 62 |
| 39.75 | 42 |
| 46.82 | 52 |

Atomic structure:
```
data_ZrTaS
_chemical_formula_sum 'Zr8 Ta8 S8'
_cell_length_a 7.499
_cell_length_b 9.736
_cell_length_c 6.243
_cell_angle_alpha 90.00
_cell_angle_beta 90.00
_cell_angle_gamma 90.00
_space_group_name_H-M_alt 'C m c e'
_space_group_IT_number 64
_space_group_name_Hall '-C 2ac 2'
loop_
_atom_site_label
_atom_site_fract_x
_atom_site_fract_y
_atom_site_fract_z
_atom_site_occupancy
Zr1 0.209 0.000 0.000 1
Ta1 0.000 0.191 0.326 1
S1 0.000 0.082 0.687 1
```

=====

> Number 2 is which compound?

ZrTaS